[1]
This entry pairs a crystal structure of K2BaIn2Sn2 with its simulated powder diffraction line list. Radiation: Cu Ka. Structure: the PBE geometry in Alexandria.
Lines closer than 0.1° are merged.

Main lines, low angle first (2θ = 10–90°):
- 15.98°, rel. 19
- 22.96°, rel. 14
- 27.70°, rel. 100
- 35.52°, rel. 67
- 39.17°, rel. 13
- 43.31°, rel. 13
- 45.63°, rel. 25
- 48.75°, rel. 16
- 59.13°, rel. 23
- 63.79°, rel. 12

Cell and atoms:
a = 5.0544 Å, b = 5.0544 Å, c = 33.2834 Å
α = 90.00°, β = 90.00°, γ = 120.00°
Space group R-3m (No. 166, hexagonal axes)
Unique sites:
K 0.0000 0.0000 0.1414
Ba 0.0000 0.0000 0.0000
In 0.0000 0.0000 0.4217
Sn 0.0000 0.0000 0.2677

[2]
This entry pairs a crystal structure of BaLa2NdIn4 with its simulated powder diffraction line list. Radiation: Cu Ka. Structure: the PBE geometry in Alexandria.
Lines closer than 0.1° are merged.

Main lines, low angle first (2θ = 10–90°):
- 31.54°, rel. 98
- 31.65°, rel. 100
- 45.29°, rel. 36
- 56.09°, rel. 17
- 56.32°, rel. 56
- 65.85°, rel. 10
- 66.10°, rel. 12
- 74.90°, rel. 14
- 75.08°, rel. 16
- 83.76°, rel. 6

Cell and atoms:
a = 5.6542 Å, b = 5.6542 Å, c = 27.8428 Å
α = 90.00°, β = 90.00°, γ = 120.00°
Space group R-3m (No. 166, hexagonal axes)
Unique sites:
Ba 0.0000 0.0000 0.0000
La 0.0000 0.0000 0.2517
Nd 0.0000 0.0000 0.5000
In 0.0000 0.0000 0.1287
In 0.0000 0.0000 0.3807

[3]
This entry pairs a crystal structure of BaLi5In7 with its simulated powder diffraction line list. Radiation: Cu Ka. Structure: the PBE geometry in Alexandria.
Lines closer than 0.1° are merged.

Main lines, low angle first (2θ = 10–90°):
- 12.33°, rel. 16
- 17.48°, rel. 41
- 24.83°, rel. 32
- 30.56°, rel. 58
- 30.71°, rel. 46
- 35.41°, rel. 100
- 35.54°, rel. 16
- 39.75°, rel. 32
- 57.68°, rel. 19
- 63.54°, rel. 32

Cell and atoms:
a = 5.824 Å, b = 10.146 Å, c = 10.155 Å
α = 90.00°, β = 90.00°, γ = 90.00°
Space group Imm2 (No. 44)
Unique sites:
Ba 0.000 0.000 0.000
Li 0.000 0.500 0.269
Li 0.246 0.251 0.746
In 0.000 0.000 0.345
In 0.000 0.000 0.647
In 0.000 0.279 0.487
In 0.000 0.350 0.009
In 0.000 0.500 0.730

[4]
This entry pairs a crystal structure of Ba3Li3In8 with its simulated powder diffraction line list. Radiation: Cu Ka. Structure: the PBE geometry in Alexandria.
Lines closer than 0.1° are merged.

Main lines, low angle first (2θ = 10–90°):
- 19.86°, rel. 28
- 24.45°, rel. 24
- 29.76°, rel. 34
- 30.14°, rel. 100
- 30.24°, rel. 67
- 31.45°, rel. 45
- 32.28°, rel. 29
- 35.69°, rel. 23
- 36.08°, rel. 54
- 37.04°, rel. 29

Cell and atoms:
a = 18.390 Å, b = 4.979 Å, c = 11.288 Å
α = 90.00°, β = 127.58°, γ = 90.00°
Space group C2/m (No. 12)
Unique sites:
Ba 0.000 0.000 0.000
Ba 0.200 0.500 0.699
Li 0.000 0.000 0.500
Li 0.166 0.500 0.013
In 0.003 0.500 0.693
In 0.130 0.000 0.851
In 0.140 0.000 0.420
In 0.156 0.500 0.277

[5]
This entry pairs a crystal structure of Ba6Li15In8 with its simulated powder diffraction line list. Radiation: Cu Ka. Structure: the PBE geometry in Alexandria.
Lines closer than 0.1° are merged.

Main lines, low angle first (2θ = 10–90°):
- 19.92°, rel. 24
- 20.82°, rel. 45
- 26.28°, rel. 55
- 31.45°, rel. 42
- 34.32°, rel. 100
- 49.32°, rel. 14
- 50.54°, rel. 23
- 61.46°, rel. 24
- 65.30°, rel. 16
- 88.50°, rel. 14

Cell and atoms:
a = 14.781 Å, b = 14.781 Å, c = 14.781 Å
α = 90.00°, β = 90.00°, γ = 90.00°
Space group Fm-3m (No. 225)
Unique sites:
Ba 0.000 0.000 0.217
Li 0.000 0.000 0.500
Li 0.000 0.250 0.250
Li 0.180 0.180 0.180
In 0.126 0.126 0.374

[6]
This entry pairs a crystal structure of Ba3LiIn11 with its simulated powder diffraction line list. Radiation: Cu Ka. Structure: the PBE geometry in Alexandria.
Lines closer than 0.1° are merged.

Main lines, low angle first (2θ = 10–90°):
- 26.77°, rel. 100
- 31.55°, rel. 13
- 32.07°, rel. 17
- 33.44°, rel. 37
- 35.07°, rel. 64
- 35.57°, rel. 24
- 39.49°, rel. 16
- 44.67°, rel. 17
- 50.82°, rel. 25
- 58.02°, rel. 37

Cell and atoms:
a = 10.2338 Å, b = 10.2338 Å, c = 10.0947 Å
α = 90.00°, β = 90.00°, γ = 120.00°
Space group P6_3/mmc (No. 194)
Unique sites:
Ba 0.0093 0.5046 0.2500
Li 0.0000 0.0000 0.0000
In 0.1021 0.2043 0.2500
In 0.1704 0.3409 0.5346
In 0.3333 0.6667 0.0289

[7]
This entry pairs a crystal structure of BaLi2In8 with its simulated powder diffraction line list. Radiation: Cu Ka. Structure: the PBE geometry in Alexandria.
Lines closer than 0.1° are merged.

Main lines, low angle first (2θ = 10–90°):
- 19.22°, rel. 43
- 28.37°, rel. 89
- 29.00°, rel. 68
- 30.00°, rel. 61
- 34.49°, rel. 100
- 40.55°, rel. 62
- 41.01°, rel. 61
- 50.62°, rel. 56
- 57.88°, rel. 32
- 69.88°, rel. 24

Cell and atoms:
a = 6.293 Å, b = 6.293 Å, c = 9.238 Å
α = 90.00°, β = 90.00°, γ = 90.00°
Space group P4/mmm (No. 123)
Unique sites:
Ba 0.000 0.000 0.000
Li 0.000 0.500 0.500
In 0.252 0.252 0.316

[8]
This entry pairs a crystal structure of Ba3Li5In6 with its simulated powder diffraction line list. Radiation: Cu Ka. Structure: the PBE geometry in Alexandria.
Lines closer than 0.1° are merged.

Main lines, low angle first (2θ = 10–90°):
- 19.67°, rel. 53
- 26.89°, rel. 64
- 30.54°, rel. 100
- 30.66°, rel. 39
- 30.85°, rel. 76
- 31.45°, rel. 35
- 33.07°, rel. 58
- 35.56°, rel. 60
- 36.17°, rel. 67
- 48.25°, rel. 43

Cell and atoms:
a = 4.967 Å, b = 14.656 Å, c = 10.804 Å
α = 90.00°, β = 90.00°, γ = 90.00°
Space group Pmmn (No. 59, origin choice 2)
Unique sites:
Ba 0.250 0.049 0.238
Ba 0.250 0.750 0.281
Li 0.250 0.083 0.884
Li 0.250 0.633 0.554
Li 0.250 0.750 0.772
In 0.250 0.067 0.575
In 0.250 0.250 0.044
In 0.250 0.250 0.426
In 0.250 0.623 0.983